KMoPbF6: computed powder diffraction line list (Cu Kα, 1.54184 Å), based on the PBE+U geometry in Alexandria.
Lines closer than 0.1° are merged.

Cell and atoms:
a b c (Å): 6.2907 6.2907 10.1412
angles (deg): 90.00 90.00 120.00
Space group P-31c (No. 163)
Inequivalent atoms, fractional coordinates:
1 K 0.0000 0.0000 0.0000 (multiplicity 2)
2 Mo 0.3333 0.6667 0.2500 (multiplicity 2)
3 Pb 0.3333 0.6667 0.7500 (multiplicity 2)
4 F 0.0442 0.3860 0.1398 (multiplicity 12)

Most intense lines, 10° ≤ 2θ ≤ 80°, sorted by position:
2θ 16.27, I 47, (1 0 0); 2θ 17.49, I 72, (0 0 2); 2θ 18.49, I 25, (1 0 1); 2θ 23.98, I 100, (1 0 2); 2θ 28.38, I 71, (1 1 0); 2θ 33.53, I 80, (1 1 2); 2θ 37.48, I 29, (2 0 2); 2θ 45.98, I 70, (1 1 4); 2θ 47.67, I 30, (2 1 2); 2θ 50.24, I 31, (3 0 0)